For LuAlFe, a cell relaxed with PBE gives the computed powder XRD pattern in this record (Cu Kα, 1.54184 Å).
No peak broadening, texture or thermal motion is included.

The 10 most intense peaks (2θ = 10–90°), most intense first:
2theta  I_rel  (hkl)
37.2  100  3 1 1
40.5  76  2 1 3
34.3  56  0 1 3
40.9  41  1 2 2
40.1  40  2 2 0
37.4  40  3 0 2
33.8  36  0 2 0
19.4  33  0 1 1
28.6  24  2 1 1
19.7  24  0 0 2

Structure:
```
data_LuAlFe
_chemical_formula_sum 'Lu8 Al8 Fe8'
_cell_length_a 8.538
_cell_length_b 5.297
_cell_length_c 9.012
_cell_angle_alpha 90.00
_cell_angle_beta 90.00
_cell_angle_gamma 90.00
_space_group_name_H-M_alt 'A m m 2'
_space_group_IT_number 38
loop_
_space_group_symop_operation_xyz
'x,y,z'
'-x,-y,z'
'-x,y,z'
'x,-y,z'
'x,y+1/2,z+1/2'
'-x,-y+1/2,z+1/2'
'-x,y+1/2,z+1/2'
'x,-y+1/2,z+1/2'
loop_
_atom_site_label
_atom_site_type_symbol
_atom_site_fract_x
_atom_site_fract_y
_atom_site_fract_z
_atom_site_occupancy
Lu1 Lu 0.176 0.000 0.000 1
Lu2 Lu 0.303 0.000 0.336 1
Al1 Al 0.235 0.000 0.675 1
Al2 Al 0.500 0.247 0.082 1
Fe1 Fe 0.000 0.000 0.496 1
Fe2 Fe 0.000 0.232 0.257 1
Fe3 Fe 0.500 0.000 0.836 1
```